This entry pairs a crystal structure of K2NiBO4 with its simulated powder diffractogram. Radiation: Cu Kα, 1.54184 Å. Structure: a DFT-relaxed cell (GGA+U, Alexandria).

Most intense lines, 2θ = 5–70°, by angle:
| 2θ/deg | d (Å) | intensity |
| --- | --- | --- |
| 18.3 | 4.860 | 68 |
| 18.6 | 4.768 | 64 |
| 20.8 | 4.266 | 54 |
| 31.2 | 2.866 | 54 |
| 32.1 | 2.788 | 100 |
| 38.8 | 2.323 | 76 |

Cell and atoms:
a = 4.770 Å, b = 10.942 Å, c = 19.438 Å
α = 90.00°, β = 90.00°, γ = 90.00°
Space group Fddd (No. 70, origin choice 2)
Asymmetric unit:
K  0.125  0.125  0.300 (multiplicity 16)
Ni  0.125  0.125  0.125 (multiplicity 8)
B  0.125  0.125  0.625 (multiplicity 8)
O  0.070  0.298  0.834 (multiplicity 32)